Entry 1:
The following is a calculated powder XRD pattern of RbVP2S7. It was derived from a cell relaxed with PBE, using copper Kα.
Intensities are scaled so that the largest is 100.

Most intense lines, 15° ≤ 2θ ≤ 90°, low angle first:
d [Å]  I (rel.)
4.925  88
4.456  60
3.964  100
3.230  92
2.882  39
2.850  80
2.830  55
2.808  70
2.752  37
2.228  29
1.991  56
1.943  27

Crystal structure
```
RbVP2S7
1.0
4.340 -4.891 0.000
4.340 4.891 0.000
-0.908 0.000 6.768
Rb V P S
1 1 2 7
Direct
0.000 0.000 0.000
0.611 0.389 0.500
0.057 0.545 0.421
0.455 0.943 0.579
0.126 0.874 0.500
0.292 0.433 0.289
0.476 0.202 0.770
0.567 0.708 0.711
0.583 0.044 0.336
0.798 0.524 0.230
0.956 0.417 0.664
```

Entry 2:
The following is a calculated powder XRD pattern of RbPSe6. It was derived from a cell relaxed with PBE, using copper Kα.
Intensities are scaled so that the largest is 100.

Most intense lines, 15° ≤ 2θ ≤ 90°, low angle first:
d [Å]  I (rel.)
5.480  19
5.440  16
4.256  26
3.310  100
3.262  21
3.095  81
3.002  69
2.968  42
2.719  19
2.639  17
2.152  16
2.008  19

Crystal structure
```
RbPSe6
1.0
12.379 0.000 0.000
0.000 7.060 0.000
0.000 0.000 11.786
Rb P Se
4 4 24
Direct
0.126 0.182 0.000
0.374 0.182 0.500
0.626 0.818 0.000
0.874 0.818 0.500
0.168 0.788 0.680
0.332 0.788 0.180
0.668 0.212 0.680
0.832 0.212 0.180
0.089 0.688 0.850
0.096 0.260 0.309
0.123 0.081 0.647
0.131 0.944 0.387
0.144 0.584 0.543
0.153 0.751 0.218
0.347 0.751 0.718
0.356 0.584 0.043
0.369 0.944 0.887
0.377 0.081 0.147
0.404 0.260 0.809
0.411 0.688 0.350
0.589 0.312 0.850
0.596 0.740 0.309
0.623 0.919 0.647
0.631 0.056 0.387
0.644 0.416 0.543
0.653 0.249 0.218
0.847 0.249 0.718
0.856 0.416 0.043
0.869 0.056 0.887
0.877 0.919 0.147
0.904 0.740 0.809
0.911 0.312 0.350
```

Entry 3:
The following is a calculated powder XRD pattern of Rb4P2Se9. It was derived from a cell relaxed with PBE, using copper Kα.
Intensities are scaled so that the largest is 100.

Most intense lines, 15° ≤ 2θ ≤ 90°, low angle first:
d [Å]  I (rel.)
3.474  100
3.393  55
3.380  39
3.320  26
3.263  66
3.249  30
3.172  65
2.975  37
2.873  63
2.806  30
2.730  41
2.598  49

Crystal structure
```
Rb4P2Se9
1.0
4.986 -5.390 0.000
4.986 5.390 0.000
-1.116 0.000 19.576
Rb P Se
8 4 18
Direct
0.064 0.252 0.821
0.217 0.720 0.525
0.252 0.064 0.321
0.280 0.783 0.975
0.720 0.217 0.025
0.748 0.936 0.679
0.783 0.280 0.475
0.936 0.748 0.179
0.231 0.246 0.618
0.246 0.231 0.118
0.754 0.769 0.882
0.769 0.754 0.382
0.000 0.254 0.177
0.000 0.746 0.823
0.017 0.620 0.358
0.224 0.288 0.009
0.254 0.000 0.677
0.288 0.224 0.509
0.380 0.983 0.142
0.401 0.599 0.750
0.452 0.489 0.147
0.489 0.452 0.647
0.511 0.548 0.353
0.548 0.511 0.853
0.599 0.401 0.250
0.620 0.017 0.858
0.712 0.776 0.491
0.746 0.000 0.323
0.776 0.712 0.991
0.983 0.380 0.642
```

Entry 4:
The following is a calculated powder XRD pattern of RbPSe3. It was derived from a cell relaxed with PBE, using copper Kα.
Intensities are scaled so that the largest is 100.

Most intense lines, 15° ≤ 2θ ≤ 90°, low angle first:
d [Å]  I (rel.)
3.931  23
3.368  16
3.290  27
3.267  52
3.246  100
3.120  18
2.939  92
2.732  15
2.521  39
1.865  39
1.772  29
1.639  27

Crystal structure
```
RbPSe3
1.0
7.601 0.000 0.000
-3.800 6.582 0.000
0.000 0.000 19.604
Rb P Se
6 6 18
Direct
0.269 0.582 0.251
0.314 0.731 0.918
0.418 0.686 0.584
0.582 0.269 0.749
0.686 0.418 0.416
0.731 0.314 0.082
0.027 0.102 0.447
0.076 0.973 0.114
0.102 0.027 0.553
0.898 0.924 0.781
0.924 0.898 0.219
0.973 0.076 0.886
0.044 0.745 0.774
0.082 0.240 0.720
0.158 0.918 0.387
0.203 0.423 0.425
0.219 0.797 0.092
0.240 0.082 0.280
0.255 0.299 0.107
0.299 0.255 0.893
0.423 0.203 0.575
0.577 0.781 0.759
0.701 0.956 0.440
0.745 0.044 0.226
0.760 0.842 0.053
0.781 0.577 0.241
0.797 0.219 0.908
0.842 0.760 0.947
0.918 0.158 0.613
0.956 0.701 0.560
```

Entry 5:
The following is a calculated powder XRD pattern of Rb5SnP3Se15. It was derived from a cell relaxed with PBE, using copper Kα.
Intensities are scaled so that the largest is 100.

Most intense lines, 15° ≤ 2θ ≤ 90°, low angle first:
d [Å]  I (rel.)
3.499  28
3.480  18
3.381  19
3.335  31
3.314  23
3.212  100
3.107  17
3.007  22
2.897  22
2.867  45
2.661  25
1.715  19

Crystal structure
```
Rb5SnP3Se15
1.0
7.493 0.000 0.000
3.608 11.468 0.000
3.425 -0.032 19.385
Rb Sn P Se
10 2 6 30
Direct
0.000 0.114 0.372
0.000 0.886 0.628
0.057 0.903 0.883
0.300 0.365 0.039
0.329 0.356 0.455
0.414 0.148 0.754
0.586 0.852 0.246
0.671 0.644 0.545
0.700 0.635 0.961
0.943 0.097 0.117
0.170 0.599 0.258
0.830 0.401 0.742
0.026 0.730 0.073
0.232 0.724 0.437
0.413 0.240 0.251
0.587 0.760 0.749
0.768 0.276 0.563
0.974 0.270 0.927
0.049 0.183 0.605
0.049 0.396 0.847
0.125 0.835 0.229
0.132 0.373 0.289
0.142 0.337 0.640
0.179 0.632 0.532
0.190 0.647 0.975
0.226 0.127 0.940
0.256 0.791 0.111
0.326 0.877 0.447
0.376 0.651 0.764
0.410 0.143 0.161
0.411 0.600 0.353
0.480 0.875 0.665
0.492 0.505 0.165
0.508 0.495 0.835
0.520 0.125 0.335
0.589 0.400 0.647
0.590 0.857 0.839
0.624 0.349 0.236
0.674 0.123 0.553
0.744 0.209 0.889
0.774 0.873 0.060
0.810 0.353 0.025
0.821 0.368 0.468
0.858 0.663 0.360
0.868 0.627 0.711
0.875 0.165 0.771
0.951 0.604 0.153
0.951 0.817 0.395
```